Structure and simulated powder XRD pattern of Sc6SnAu5 (a DFT-relaxed cell (PBE, Alexandria); Cu Kα (λ = 1.5418 Å)).

Cell and atoms:
```
data_Sc6SnAu5
_cell_length_a 4.828
_cell_length_b 6.933
_cell_length_c 14.497
_cell_angle_alpha 90.00
_cell_angle_beta 90.00
_cell_angle_gamma 90.00
_symmetry_space_group_name_H-M 'I m m m'
_symmetry_Int_Tables_number 71
_symmetry_space_group_name_Hall '-I 2 2'
loop_
_atom_site_label
_atom_site_type_symbol
_atom_site_fract_x
_atom_site_fract_y
_atom_site_fract_z
_atom_site_occupancy
Sc1 Sc 0.000 0.238 0.000 1
Sc2 Sc 0.000 0.256 0.329 1
Sn1 Sn 0.000 0.000 0.500 1
Au1 Au 0.000 0.000 0.166 1
Au2 Au 0.000 0.500 0.161 1
Au3 Au 0.000 0.500 0.500 1
```

Peak list (10 most intense, 15° ≤ 2θ ≤ 90°, by angle)
- hkl 0 2 0, 25.7°, intensity 24
- hkl 1 0 3, 26.1°, intensity 45
- hkl 1 2 3, 36.9°, intensity 100
- hkl 2 0 0, 37.2°, intensity 49
- hkl 2 2 0, 45.8°, intensity 21
- hkl 2 0 6, 53.7°, intensity 17
- hkl 1 4 3, 59.8°, intensity 10
- hkl 2 4 0, 66.4°, intensity 18
- hkl 3 2 3, 66.9°, intensity 34
- hkl 2 4 6, 78.7°, intensity 11